Simulated X-ray powder pattern
Compound: DyTlIn2Br6
Radiation: Cu Kα (weighted mean of Kα1 and Kα2)
Structure: DFT lattice parameters and positions (PBE)
Intensities are scaled so that the largest is 100.

Cell: 8.1295 8.1295 20.9788 Å, 90.00 90.00 120.00°
Space group R3 (No. 146, hexagonal axes)
Asymmetric unit:
Dy: 0.0000 0.0000 0.0000
Tl: 0.0000 0.0000 0.4908
In: 0.0000 0.0000 0.2014
In: 0.0000 0.0000 0.6928
Br: 0.0147 0.7350 0.0852
Br: 0.0663 0.3562 0.5957

Most intense lines, 2θ from 10° to 90°, in order of rising 2θ:
| d_spacing | 2theta | intensity |
| --- | --- | --- |
| 5.846 | 15.2 | 69 |
| 4.206 | 21.1 | 64 |
| 4.065 | 21.9 | 47 |
| 3.514 | 25.3 | 65 |
| 2.923 | 30.6 | 57 |
| 2.651 | 33.8 | 100 |
| 2.373 | 37.9 | 47 |
| 2.347 | 38.4 | 62 |
| 1.757 | 52.0 | 23 |
| 1.544 | 59.9 | 21 |



Simulated X-ray powder pattern
Compound: Dy4IrSe2Br
Radiation: Cu Kα (weighted mean of Kα1 and Kα2)
Structure: DFT lattice parameters and positions (PBE)
Intensities are scaled so that the largest is 100.

Cell: 7.247 4.004 7.289 Å, 90.00 107.95 90.00°
Space group P2/m (No. 10)
Asymmetric unit:
Dy: 0.225 0.000 0.215
Dy: 0.254 0.500 0.779
Ir: 0.000 0.500 0.000
Se: 0.500 0.000 0.000
Se: 0.500 0.500 0.500
Br: 0.000 0.000 0.500

Most intense lines, 2θ from 10° to 90°, in order of rising 2θ:
| d_spacing | 2theta | intensity |
| --- | --- | --- |
| 6.923 | 12.8 | 27 |
| 2.939 | 30.4 | 52 |
| 2.922 | 30.6 | 100 |
| 2.137 | 42.3 | 17 |
| 2.077 | 43.6 | 34 |
| 2.068 | 43.8 | 39 |
| 2.002 | 45.3 | 19 |
| 1.655 | 55.5 | 24 |
| 1.461 | 63.7 | 12 |
| 1.311 | 72.1 | 15 |



Simulated X-ray powder pattern
Compound: K3DyBr8
Radiation: Cu Kα (weighted mean of Kα1 and Kα2)
Structure: DFT lattice parameters and positions (PBE)
Intensities are scaled so that the largest is 100.

Cell: 7.443 7.443 15.802 Å, 90.00 90.00 90.00°
Space group I4/mmm (No. 139)
Asymmetric unit:
K: 0.000 0.000 0.000
K: 0.000 0.500 0.250
Dy: 0.000 0.000 0.500
Br: 0.227 0.227 0.388

Most intense lines, 2θ from 10° to 90°, in order of rising 2θ:
| d_spacing | 2theta | intensity |
| --- | --- | --- |
| 7.901 | 11.2 | 21 |
| 6.734 | 13.1 | 41 |
| 4.380 | 20.3 | 37 |
| 3.722 | 23.9 | 18 |
| 2.709 | 33.1 | 100 |
| 2.632 | 34.1 | 48 |
| 1.861 | 48.9 | 15 |
| 1.580 | 58.4 | 16 |
| 1.534 | 60.3 | 27 |
| 1.355 | 69.4 | 12 |



Simulated X-ray powder pattern
Compound: KDyBr4
Radiation: Cu Kα (weighted mean of Kα1 and Kα2)
Structure: DFT lattice parameters and positions (PBE)
Intensities are scaled so that the largest is 100.

Cell: 10.252 10.760 4.345 Å, 90.00 90.00 90.00°
Space group Cmmm (No. 65)
Asymmetric unit:
K: 0.000 0.000 0.000
Dy: 0.000 0.500 0.500
Br: 0.000 0.325 0.000
Br: 0.232 0.000 0.500

Most intense lines, 2θ from 10° to 90°, in order of rising 2θ:
| d_spacing | 2theta | intensity |
| --- | --- | --- |
| 7.422 | 11.9 | 100 |
| 5.380 | 16.5 | 61 |
| 5.126 | 17.3 | 32 |
| 3.380 | 26.4 | 80 |
| 3.314 | 26.9 | 22 |
| 3.257 | 27.4 | 30 |
| 2.671 | 33.6 | 68 |
| 2.563 | 35.0 | 34 |
| 2.150 | 42.0 | 53 |
| 2.042 | 44.4 | 35 |